(1)
Diffraction record for TmLuSi2W. The powder XRD pattern is theoretical, not measured: it uses a GGA-PBE-relaxed structure and Cu Kα.

Largest 10 diffraction maxima, by intensity, 2θ = 10–80°:
| 2theta | Rel. int. |
| --- | --- |
| 34.51 | 1000 |
| 37.36 | 633 |
| 33.66 | 486 |
| 32.49 | 404 |
| 45.90 | 359 |
| 32.96 | 349 |
| 28.76 | 323 |
| 57.33 | 295 |
| 40.52 | 293 |
| 24.24 | 289 |

Cell and atoms:
```
data_TmLuSi2W
_cell_length_a 11.307
_cell_length_b 3.954
_cell_length_c 10.031
_cell_angle_alpha 90.00
_cell_angle_beta 118.79
_cell_angle_gamma 90.00
_space_group_name_H-M_alt 'C 1 2/m 1'
_space_group_IT_number 12
loop_
_space_group_symop_operation_xyz
'x,y,z'
'-x,-y,-z'
'-x,y,-z'
'x,-y,z'
'x+1/2,y+1/2,z'
'-x+1/2,-y+1/2,-z'
'-x+1/2,y+1/2,-z'
'x+1/2,-y+1/2,z'
loop_
_atom_site_label
_atom_site_type_symbol
_atom_site_fract_x
_atom_site_fract_y
_atom_site_fract_z
Tm1 Tm 0.185 0.000 0.112
Lu1 Lu 0.019 0.000 0.686
Si1 Si 0.003 0.500 0.878
Si2 Si 0.122 0.500 0.555
W1 W 0.224 0.500 0.377
```

=====

(2)
Diffraction record for SmLuZn2Sn2. The powder XRD pattern is theoretical, not measured: it uses a GGA-PBE-relaxed structure and Cu Kα.

Largest 10 diffraction maxima, by intensity, 2θ = 10–80°:
| 2theta | Rel. int. |
| --- | --- |
| 32.20 | 1000 |
| 39.82 | 602 |
| 52.10 | 260 |
| 67.52 | 239 |
| 62.48 | 157 |
| 28.40 | 154 |
| 46.50 | 121 |
| 72.28 | 108 |
| 22.68 | 86 |
| 46.05 | 64 |

Cell and atoms:
```
data_SmLuZn2Sn2
_cell_length_a 4.5281
_cell_length_b 4.5281
_cell_length_c 15.7667
_cell_angle_alpha 90.00
_cell_angle_beta 90.00
_cell_angle_gamma 120.00
_space_group_name_H-M_alt 'P 63/m m c'
_space_group_IT_number 194
_space_group_name_Hall '-P 6c 2c'
loop_
_atom_site_label
_atom_site_type_symbol
_atom_site_fract_x
_atom_site_fract_y
_atom_site_fract_z
Sm1 Sm 0.0000 0.0000 0.2500
Lu1 Lu 0.0000 0.0000 0.0000
Zn1 Zn 0.3333 0.6667 0.1565
Sn1 Sn 0.3333 0.6667 0.6092
```

=====

(3)
Diffraction record for YLu2Sn2. The powder XRD pattern is theoretical, not measured: it uses a GGA-PBE-relaxed structure and Cu Kα.

Largest 10 diffraction maxima, by intensity, 2θ = 10–80°:
| 2theta | Rel. int. |
| --- | --- |
| 32.22 | 1000 |
| 32.90 | 739 |
| 34.28 | 539 |
| 35.58 | 467 |
| 31.54 | 438 |
| 33.78 | 373 |
| 42.37 | 301 |
| 28.91 | 254 |
| 27.19 | 252 |
| 39.81 | 202 |

Cell and atoms:
```
data_YLu2Sn2
_cell_length_a 11.047
_cell_length_b 16.307
_cell_length_c 6.051
_cell_angle_alpha 90.00
_cell_angle_beta 90.00
_cell_angle_gamma 90.00
_space_group_name_H-M_alt 'F d d 2'
_space_group_IT_number 43
_space_group_name_Hall 'F 2 -2d'
loop_
_atom_site_label
_atom_site_type_symbol
_atom_site_fract_x
_atom_site_fract_y
_atom_site_fract_z
Y1 Y 0.000 0.000 0.000
Lu1 Lu 0.067 0.296 0.685
Sn1 Sn 0.062 0.379 0.137
```

=====

(4)
Diffraction record for Lu7Te. The powder XRD pattern is theoretical, not measured: it uses a GGA-PBE-relaxed structure and Cu Kα.

Largest 10 diffraction maxima, by intensity, 2θ = 10–80°:
| 2theta | Rel. int. |
| --- | --- |
| 30.51 | 1000 |
| 33.82 | 650 |
| 33.44 | 508 |
| 32.24 | 505 |
| 33.19 | 462 |
| 36.10 | 279 |
| 60.07 | 262 |
| 48.07 | 230 |
| 56.72 | 160 |
| 31.59 | 160 |

Cell and atoms:
```
data_Lu7Te
_cell_length_a 3.785
_cell_length_b 12.526
_cell_length_c 19.903
_cell_angle_alpha 90.00
_cell_angle_beta 90.00
_cell_angle_gamma 90.00
_space_group_name_H-M_alt 'C m c m'
_space_group_IT_number 63
_space_group_name_Hall '-C 2c 2'
loop_
_atom_site_label
_atom_site_type_symbol
_atom_site_fract_x
_atom_site_fract_y
_atom_site_fract_z
Lu1 Lu 0.000 0.020 0.108
Lu2 Lu 0.000 0.245 0.646
Lu3 Lu 0.000 0.358 0.012
Lu4 Lu 0.000 0.438 0.250
Te1 Te 0.000 0.148 0.250
```